Computed powder XRD pattern of La3SmEr7 for Cu Ka, from the GGA-PBE geometry in Alexandria.

Peak list (10 most intense, 2θ from 15° to 90°, most intense first)
| 2θ (°) | Rel. int. |
| --- | --- |
| 31.51 | 100 |
| 32.39 | 73 |
| 32.64 | 73 |
| 31.79 | 68 |
| 31.18 | 37 |
| 31.58 | 36 |
| 57.32 | 21 |
| 31.99 | 20 |
| 57.92 | 18 |
| 25.42 | 18 |

Cell and atoms:
```
11
Lattice="5.528 0.000 0.000 0.007 7.007 0.000 0.005 3.367 9.479" Properties=species:S:1:pos:R:3 pbc="T T T"
La 0.000 0.000 0.000
La 2.767 3.682 4.765
La 2.774 6.693 4.714
Sm 0.004 3.504 0.000
Er 0.003 1.684 4.739
Er 5.534 5.215 6.355
Er 0.007 5.160 3.124
Er 2.767 1.729 1.998
Er 2.770 5.170 8.186
Er 2.771 5.205 1.293
Er 2.774 8.646 7.481
```

=====

Computed powder XRD pattern of LaSm4Er2 for Cu Ka, from the GGA-PBE geometry in Alexandria.

Peak list (10 most intense, 2θ from 15° to 90°, most intense first)
| 2θ (°) | Rel. int. |
| --- | --- |
| 32.70 | 100 |
| 30.89 | 81 |
| 32.98 | 79 |
| 31.50 | 77 |
| 31.23 | 57 |
| 28.81 | 48 |
| 30.80 | 38 |
| 28.09 | 34 |
| 26.85 | 29 |
| 64.73 | 29 |

Cell and atoms:
```
14
Lattice="6.199 0.000 0.000 0.000 6.641 0.000 -2.839 0.000 11.318" Properties=species:S:1:pos:R:3 pbc="T T T"
La -0.818 1.660 4.033
La 4.178 4.981 7.286
Sm -0.931 1.660 7.449
Sm -0.840 4.981 10.552
Sm 1.612 3.365 2.399
Sm 1.612 6.597 2.399
Sm 1.748 0.044 8.919
Sm 1.748 3.277 8.919
Sm 4.200 1.660 0.766
Sm 4.291 4.981 3.869
Er -1.773 1.660 10.698
Er 1.052 4.981 5.661
Er 2.309 1.660 5.658
Er 5.133 4.981 0.620
```

=====

Computed powder XRD pattern of La3Sm2Er4 for Cu Ka, from the GGA-PBE geometry in Alexandria.

Peak list (10 most intense, 2θ from 15° to 90°, most intense first)
| 2θ (°) | Rel. int. |
| --- | --- |
| 30.14 | 100 |
| 31.72 | 89 |
| 29.88 | 51 |
| 36.90 | 30 |
| 37.15 | 27 |
| 54.64 | 18 |
| 54.48 | 18 |
| 48.53 | 13 |
| 50.33 | 12 |
| 48.33 | 12 |

Cell and atoms:
```
18
Lattice="8.240 -5.938 0.000 8.240 5.938 0.000 -0.830 0.000 6.133" Properties=species:S:1:pos:R:3 pbc="T T T"
La 7.617 4.477 4.600
La 4.819 1.670 5.567
La 5.234 -1.670 2.501
La 10.415 1.670 3.633
La 10.830 -1.670 0.566
La 8.032 -4.477 1.533
Sm 6.188 4.370 1.273
Sm 9.877 4.370 1.794
Sm 5.773 -4.370 4.339
Sm 9.462 -4.370 4.861
Er 3.467 1.398 2.217
Er 6.928 1.394 2.824
Er 3.052 -1.398 5.283
Er 9.137 1.394 0.243
Er 6.513 -1.394 5.891
Er 12.598 1.398 0.850
Er 8.722 -1.394 3.309
Er 12.183 -1.398 3.916
```